Computed X-ray powder pattern
Compound: Zr5Sn3C
Radiation: Cu Kα, 1.54184 Å
Structure: a structure optimized by DFT (PBE)

Main lines, by angle (2θ = 15–90°):
index	2θ (°)	I/Imax
0 0 2	30.47	19
2 1 0	32.14	26
2 1 1	35.69	100
3 0 0	36.59	24
1 1 2	37.23	54
2 0 2	39.26	13
2 2 1	45.35	16
3 1 1	47.09	12
2 1 3	57.59	25
5 0 2	71.67	24

a = 8.5081 Å, b = 8.5081 Å, c = 5.8674 Å
α = 90.00°, β = 90.00°, γ = 120.00°
Space group P6_3/mcm (No. 193)
Unique sites:
1 Zr 0.0000 0.2178 0.2500 [6 per cell]
2 Zr 0.3333 0.6667 0.0000 [4 per cell]
3 Sn 0.0000 0.4029 0.7500 [6 per cell]
4 C 0.0000 0.0000 0.0000 [2 per cell]

***

Computed X-ray powder pattern
Compound: UHg3
Radiation: Cu Kα, 1.54184 Å
Structure: a structure optimized by DFT (PBE)

Main lines, by angle (2θ = 15–90°):
index	2θ (°)	I/Imax
2 2 0	30.33	24
0 4 0	30.84	12
2 2 1	35.23	100
0 0 2	35.44	33
0 4 1	35.68	48
2 2 2	47.32	15
2 6 0	54.53	19
2 2 3	63.49	19
4 4 1	66.02	17
2 6 2	66.73	22

a = 6.845 Å, b = 11.596 Å, c = 5.066 Å
α = 90.00°, β = 90.00°, γ = 90.00°
Space group Cmcm (No. 63)
Unique sites:
1 U 0.000 0.166 0.250 [4 per cell]
2 Hg 0.000 0.335 0.750 [4 per cell]
3 Hg 0.248 0.417 0.250 [8 per cell]

***

Computed X-ray powder pattern
Compound: SbPb
Radiation: Cu Kα, 1.54184 Å
Structure: a structure optimized by DFT (PBE)

Main lines, by angle (2θ = 15–90°):
index	2θ (°)	I/Imax
1 1 1	31.82	100
0 0 2	32.85	23
0 2 0	33.43	22
2 0 0	43.60	11
0 2 2	47.57	17
2 0 2	55.65	10
2 2 0	56.03	11
1 1 3	58.00	18
1 3 1	58.75	19
2 2 2	66.49	13

a = 4.152 Å, b = 5.361 Å, c = 5.453 Å
α = 90.00°, β = 90.00°, γ = 90.00°
Space group Cmmm (No. 65)
Unique sites:
1 Sb 0.000 0.000 0.000 [2 per cell]
2 Pb 0.000 0.500 0.500 [2 per cell]

***

Computed X-ray powder pattern
Compound: Li4Al3Ge3IO12
Radiation: Cu Kα, 1.54184 Å
Structure: a structure optimized by DFT (PBE)

Main lines, by angle (2θ = 15–90°):
index	2θ (°)	I/Imax
2 0 0	20.07	29
2 1 0	22.47	17
2 1 1	24.65	100
2 2 2	35.14	13
3 2 1	38.06	43
4 2 0	45.87	14
3 3 2	48.25	14
5 2 1	57.02	13
4 4 0	59.07	19
5 3 2	64.99	16

a = 8.846 Å, b = 8.846 Å, c = 8.846 Å
α = 90.00°, β = 90.00°, γ = 90.00°
Space group P-43n (No. 218)
Unique sites:
1 Li 0.191 0.191 0.191 [8 per cell]
2 Al 0.000 0.250 0.500 [6 per cell]
3 Ge 0.000 0.500 0.250 [6 per cell]
4 I 0.000 0.000 0.000 [2 per cell]
5 O 0.091 0.359 0.641 [24 per cell]

***

Computed X-ray powder pattern
Compound: LaSmI4
Radiation: Cu Kα, 1.54184 Å
Structure: a structure optimized by DFT (PBE)

Main lines, by angle (2θ = 15–90°):
index	2θ (°)	I/Imax
3 1 -1	27.65	93
0 4 1	28.55	100
0 0 2	29.92	84
1 3 -2	30.32	69
0 2 2	32.36	45
1 5 0	32.58	63
3 3 -2	32.88	56
2 2 1	36.67	39
3 3 0	39.03	58
3 3 -3	39.53	31

a = 10.278 Å, b = 14.675 Å, c = 7.818 Å
α = 90.00°, β = 130.18°, γ = 90.00°
Space group C2/c (No. 15)
Unique sites:
1 La 0.000 0.013 0.250 [4 per cell]
2 Sm 0.000 0.369 0.250 [4 per cell]
3 I 0.133 0.187 0.598 [8 per cell]
4 I 0.186 0.440 0.755 [8 per cell]

***

Computed X-ray powder pattern
Compound: Mg2Sc3TiS8
Radiation: Cu Kα, 1.54184 Å
Structure: a structure optimized by DFT (PBE)

Main lines, by angle (2θ = 15–90°):
index	2θ (°)	I/Imax
0 2 1	27.76	17
1 1 3	27.86	31
0 1 5	28.07	18
0 2 4	33.79	100
1 2 5	44.35	20
2 2 0	48.28	51
2 0 8	48.79	50
4 0 4	60.23	14
0 4 8	71.08	14
2 2 12	81.45	12

a = 7.5394 Å, b = 7.5394 Å, c = 18.1989 Å
α = 90.00°, β = 90.00°, γ = 120.00°
Space group R-3m (No. 166, hexagonal axes)
Unique sites:
1 Mg 0.0000 0.0000 0.1246 [6 per cell]
2 Sc 0.0000 0.5000 0.0000 [9 per cell]
3 Ti 0.0000 0.0000 0.5000 [3 per cell]
4 S 0.0000 0.0000 0.2582 [6 per cell]
5 S 0.0253 0.5126 0.2495 [18 per cell]

***

Computed X-ray powder pattern
Compound: TaRu3C
Radiation: Cu Kα, 1.54184 Å
Structure: a structure optimized by DFT (PBE)

Main lines, by angle (2θ = 15–90°):
index	2θ (°)	I/Imax
1 0 0	21.92	5
1 1 0	31.19	8
1 1 1	38.45	100
2 0 0	44.69	53
2 1 0	50.31	3
2 1 1	55.50	3
2 2 0	65.05	34
3 0 0	69.54	1
3 1 1	78.17	37
2 2 2	82.37	12

a = 4.056 Å, b = 4.056 Å, c = 4.056 Å
α = 90.00°, β = 90.00°, γ = 90.00°
Space group Pm-3m (No. 221)
Unique sites:
1 Ta 0.000 0.000 0.000 [1 per cell]
2 Ru 0.000 0.500 0.500 [3 per cell]
3 C 0.500 0.500 0.500 [1 per cell]

***

Computed X-ray powder pattern
Compound: KCePCO7
Radiation: Cu Kα, 1.54184 Å
Structure: a structure optimized by DFT (PBE)

Main lines, by angle (2θ = 15–90°):
index	2θ (°)	I/Imax
0 1 1	15.22	100
1 0 -1	17.48	33
1 0 1	17.62	46
1 1 0	19.74	84
1 0 -2	23.10	57
1 0 2	23.30	33
0 2 0	25.11	53
2 0 0	30.75	63
1 2 1	30.84	30
1 1 3	33.14	30

a = 5.818 Å, b = 7.092 Å, c = 10.194 Å
α = 90.00°, β = 90.48°, γ = 90.00°
Space group P2_1 (No. 4)
Unique sites:
1 K 0.249 0.000 0.281 [2 per cell]
2 Ce 0.219 0.182 0.850 [2 per cell]
3 P 0.281 0.690 0.935 [2 per cell]
4 C 0.274 0.225 0.584 [2 per cell]
5 O 0.069 0.218 0.642 [2 per cell]
6 O 0.137 0.703 0.064 [2 per cell]
7 O 0.217 0.509 0.857 [2 per cell]
8 O 0.230 0.866 0.850 [2 per cell]
9 O 0.306 0.234 0.465 [2 per cell]
10 O 0.446 0.218 0.673 [2 per cell]
11 O 0.458 0.184 0.027 [2 per cell]